# 1
Starting from a cell relaxed with GGA-PBE, the XRD peak list of P3Pd8 was computed for Cu Kα X-rays.
Neutral-atom scattering factors, no anomalous dispersion.

Largest 6 diffraction maxima, low angle first, 2θ = 5–70°:
2θ (°)  d (Å)  intensity
35.94  2.499  100
39.41  2.286  18
39.52  2.280  33
48.92  1.862  7
54.48  1.684  13
62.20  1.493  29

Cell and atoms:
abc: 5.588 5.588 5.588
angles: 89.86 89.86 89.86
Sites, in units of the cell vectors:
P  0.000  0.500  0.500
P  0.500  0.000  0.500
P  0.500  0.500  0.000
Pd  0.145  0.669  0.849
Pd  0.151  0.855  0.331
Pd  0.331  0.151  0.855
Pd  0.352  0.352  0.352
Pd  0.648  0.648  0.648
Pd  0.669  0.849  0.145
Pd  0.849  0.145  0.669
Pd  0.855  0.331  0.151

***

# 2
Starting from a cell relaxed with GGA-PBE, the XRD peak list of Zn6HgAu12 was computed for Cu Kα X-rays.
Neutral-atom scattering factors, no anomalous dispersion.

Largest 6 diffraction maxima, low angle first, 2θ = 5–70°:
2θ (°)  d (Å)  intensity
32.31  2.771  100
35.80  2.508  46
38.58  2.334  34
41.62  2.170  41
43.17  2.096  31
48.25  1.886  45

Cell and atoms:
abc: 7.586 7.586 7.586
angles: 107.64 107.64 107.64
Sites, in units of the cell vectors:
Zn  0.294  0.294  0.699
Zn  0.294  0.699  0.294
Zn  0.301  0.706  0.706
Zn  0.699  0.294  0.294
Zn  0.706  0.301  0.706
Zn  0.706  0.706  0.301
Hg  0.000  0.000  0.000
Au  0.119  0.500  0.881
Au  0.119  0.881  0.500
Au  0.126  0.364  0.364
Au  0.364  0.126  0.364
Au  0.364  0.364  0.126
Au  0.500  0.119  0.881
Au  0.500  0.881  0.119
Au  0.636  0.636  0.874
Au  0.636  0.874  0.636
Au  0.874  0.636  0.636
Au  0.881  0.119  0.500
Au  0.881  0.500  0.119

***

# 3
Starting from a cell relaxed with GGA-PBE, the XRD peak list of Ba6Zn2Ga was computed for Cu Kα X-rays.
Neutral-atom scattering factors, no anomalous dispersion.

Largest 6 diffraction maxima, low angle first, 2θ = 5–70°:
2θ (°)  d (Å)  intensity
22.08  4.025  31
27.77  3.213  100
30.26  2.953  64
36.74  2.446  40
52.24  1.751  34
58.05  1.589  40

Cell and atoms:
abc: 11.632 9.335 8.102
angles: 83.37 52.85 43.78
Sites, in units of the cell vectors:
Ba  0.127  0.873  0.127
Ba  0.207  0.462  0.538
Ba  0.462  0.207  0.793
Ba  0.538  0.793  0.207
Ba  0.793  0.538  0.462
Ba  0.873  0.127  0.873
Zn  0.167  0.167  0.833
Zn  0.833  0.833  0.167
Ga  0.500  0.500  0.500

***

# 4
Starting from a cell relaxed with GGA-PBE, the XRD peak list of Mg2ZnPt was computed for Cu Kα X-rays.
Neutral-atom scattering factors, no anomalous dispersion.

Largest 6 diffraction maxima, low angle first, 2θ = 5–70°:
2θ (°)  d (Å)  intensity
18.95  4.683  33
20.24  4.388  52
22.69  3.919  57
30.11  2.968  33
38.39  2.345  100
41.17  2.193  58

Cell and atoms:
abc: 5.207 5.207 4.654
angles: 108.53 108.53 34.97
Sites, in units of the cell vectors:
Mg  0.000  0.000  0.000
Mg  0.215  0.215  0.663
Zn  0.758  0.758  0.204
Pt  0.474  0.474  0.487

***

# 5
Starting from a cell relaxed with GGA-PBE, the XRD peak list of Sc3Al9Pd2 was computed for Cu Kα X-rays.
Neutral-atom scattering factors, no anomalous dispersion.

Largest 6 diffraction maxima, low angle first, 2θ = 5–70°:
2θ (°)  d (Å)  intensity
14.84  5.971  45
22.50  3.952  35
35.62  2.520  37
36.16  2.484  90
38.13  2.360  100
43.21  2.094  40

Cell and atoms:
abc: 7.993 7.993 7.993
angles: 149.63 104.67 83.33
Sites, in units of the cell vectors:
Sc  0.000  0.000  0.000
Sc  0.291  0.291  0.000
Sc  0.709  0.709  0.000
Al  0.014  0.645  0.370
Al  0.148  0.861  0.287
Al  0.275  0.645  0.630
Al  0.427  0.139  0.287
Al  0.500  0.000  0.500
Al  0.573  0.861  0.713
Al  0.725  0.355  0.370
Al  0.852  0.139  0.713
Al  0.986  0.355  0.630
Pd  0.322  0.500  0.822
Pd  0.678  0.500  0.178